Starting from a GGA-PBE-relaxed structure, the powder XRD pattern of ThU2Cr2C4 was calculated for a wavelength of 1.5418 Å.
Lines closer than 0.1° are merged.

Structural model:
```
data_ThU2Cr2C4
_cell_length_a 13.292
_cell_length_b 3.251
_cell_length_c 6.016
_cell_angle_alpha 90.00
_cell_angle_beta 109.20
_cell_angle_gamma 90.00
_symmetry_space_group_name_H-M 'C 1 2/m 1'
_symmetry_Int_Tables_number 12
loop_
_symmetry_equiv_pos_as_xyz
'x,y,z'
'-x,-y,-z'
'-x,y,-z'
'x,-y,z'
'x+1/2,y+1/2,z'
'-x+1/2,-y+1/2,-z'
'-x+1/2,y+1/2,-z'
'x+1/2,-y+1/2,z'
loop_
_atom_site_label
_atom_site_type_symbol
_atom_site_fract_x
_atom_site_fract_y
_atom_site_fract_z
_atom_site_occupancy
Th1 Th 0.000 0.000 0.000 1
U1 U 0.132 0.000 0.535 1
Cr1 Cr 0.186 0.500 0.005 1
C1 C 0.049 0.500 0.721 1
C2 C 0.231 0.000 0.228 1
```

The 10 most intense peaks (2θ = 15–90°), by angle:
- 24.3 deg, rel. 238
- 27.6 deg, rel. 910
- 28.4 deg, rel. 1000
- 31.5 deg, rel. 788
- 35.3 deg, rel. 891
- 37.0 deg, rel. 477
- 41.0 deg, rel. 603
- 41.4 deg, rel. 838
- 44.2 deg, rel. 314
- 58.8 deg, rel. 327

***

Starting from a GGA-PBE-relaxed structure, the powder XRD pattern of Dy2TlCuTe4 was calculated for a wavelength of 1.5418 Å.
Lines closer than 0.1° are merged.

Structural model:
```
data_Dy2TlCuTe4
_cell_length_a 4.355
_cell_length_b 15.011
_cell_length_c 15.355
_cell_angle_alpha 90.00
_cell_angle_beta 90.00
_cell_angle_gamma 90.00
_symmetry_space_group_name_H-M 'C m c m'
_symmetry_Int_Tables_number 63
_symmetry_space_group_name_Hall '-C 2c 2'
loop_
_atom_site_label
_atom_site_type_symbol
_atom_site_fract_x
_atom_site_fract_y
_atom_site_fract_z
_atom_site_occupancy
Dy1 Dy 0.000 0.134 0.067 1
Tl1 Tl 0.000 0.384 0.250 1
Cu1 Cu 0.000 0.342 0.750 1
Te1 Te 0.000 0.059 0.250 1
Te2 Te 0.000 0.231 0.614 1
Te3 Te 0.000 0.500 0.000 1
```

The 10 most intense peaks (2θ = 15–90°), by angle:
- 21.0 deg, rel. 349
- 26.1 deg, rel. 453
- 27.8 deg, rel. 930
- 29.6 deg, rel. 1000
- 35.1 deg, rel. 206
- 36.3 deg, rel. 360
- 40.1 deg, rel. 491
- 40.5 deg, rel. 393
- 41.5 deg, rel. 388
- 59.1 deg, rel. 221

***

Starting from a GGA-PBE-relaxed structure, the powder XRD pattern of Li8TmZn4 was calculated for a wavelength of 1.5418 Å.
Lines closer than 0.1° are merged.

Structural model:
```
data_Li8TmZn4
_cell_length_a 9.244
_cell_length_b 9.244
_cell_length_c 5.256
_cell_angle_alpha 90.00
_cell_angle_beta 90.00
_cell_angle_gamma 90.00
_symmetry_space_group_name_H-M 'I 4/m m m'
_symmetry_Int_Tables_number 139
_symmetry_space_group_name_Hall '-I 4 2'
loop_
_atom_site_label
_atom_site_type_symbol
_atom_site_fract_x
_atom_site_fract_y
_atom_site_fract_z
_atom_site_occupancy
Li1 Li 0.000 0.217 0.000 1
Li2 Li 0.000 0.347 0.500 1
Tm1 Tm 0.000 0.000 0.500 1
Zn1 Zn 0.250 0.250 0.250 1
```

The 10 most intense peaks (2θ = 15–90°), by angle:
- 19.4 deg, rel. 623
- 27.3 deg, rel. 1000
- 27.5 deg, rel. 585
- 30.6 deg, rel. 228
- 39.0 deg, rel. 473
- 39.1 deg, rel. 301
- 39.4 deg, rel. 869
- 56.3 deg, rel. 222
- 56.7 deg, rel. 533
- 63.7 deg, rel. 250

***

Starting from a GGA-PBE-relaxed structure, the powder XRD pattern of PaBeCdO5 was calculated for a wavelength of 1.5418 Å.
Lines closer than 0.1° are merged.

Structural model:
```
data_PaBeCdO5
_cell_length_a 6.795
_cell_length_b 8.869
_cell_length_c 7.986
_cell_angle_alpha 90.00
_cell_angle_beta 114.46
_cell_angle_gamma 90.00
_symmetry_space_group_name_H-M 'C 1 2/c 1'
_symmetry_Int_Tables_number 15
loop_
_symmetry_equiv_pos_as_xyz
'x,y,z'
'-x,-y,-z'
'-x,y,-z+1/2'
'x,-y,z+1/2'
'x+1/2,y+1/2,z'
'-x+1/2,-y+1/2,-z'
'-x+1/2,y+1/2,-z+1/2'
'x+1/2,-y+1/2,z+1/2'
loop_
_atom_site_label
_atom_site_type_symbol
_atom_site_fract_x
_atom_site_fract_y
_atom_site_fract_z
_atom_site_occupancy
Pa1 Pa 0.000 0.000 0.000 1
Be1 Be 0.000 0.313 0.250 1
Cd1 Cd 0.000 0.354 0.750 1
O1 O 0.000 0.105 0.750 1
O2 O 0.118 0.202 0.153 1
O3 O 0.165 0.431 0.404 1
```

The 10 most intense peaks (2θ = 15–90°), by angle:
- 17.5 deg, rel. 581
- 20.0 deg, rel. 305
- 24.8 deg, rel. 1000
- 28.9 deg, rel. 446
- 31.8 deg, rel. 420
- 33.6 deg, rel. 466
- 34.9 deg, rel. 267
- 41.7 deg, rel. 253
- 48.1 deg, rel. 199
- 50.9 deg, rel. 256